Theoretical powder diffractogram of Li5Mn2CoO8 for Cu Kα, from a structure optimized by DFT (GGA+U).
Neutral-atom scattering factors, no anomalous dispersion.

Main lines, low angle first (10 to 80 degrees two-theta):
| index | 2θ/deg | Rel. int. |
| --- | --- | --- |
| 0 0 1 | 15.0 | 13 |
| 0 1 0 | 18.5 | 100 |
| 1 0 0 | 18.8 | 11 |
| 1 0 -1 | 24.2 | 13 |
| 1 1 1 | 26.5 | 11 |
| 1 0 2 | 36.0 | 26 |
| 2 1 0 | 36.6 | 12 |
| 1 -1 2 | 43.6 | 63 |
| 2 2 0 | 44.3 | 30 |
| 1 -2 2 | 57.6 | 11 |
| 1 3 2 | 63.4 | 16 |
| 3 1 2 | 64.4 | 16 |

```
data_Li5Mn2CoO8
_chemical_formula_sum 'Li5 Mn2 Co1 O8'
_symmetry_space_group_name_H-M 'P 1'
_symmetry_Int_Tables_number 1
_cell_length_a 4.981
_cell_length_b 5.080
_cell_length_c 5.890
_cell_angle_alpha 90.00
_cell_angle_beta 89.98
_cell_angle_gamma 71.12
loop_
_symmetry_equiv_pos_as_xyz
'x,y,z'
loop_
_atom_site_label
_atom_site_type_symbol
_atom_site_fract_x
_atom_site_fract_y
_atom_site_fract_z
_atom_site_occupancy
Li1 Li 0.000 0.000 0.000 1
Li2 Li 0.001 0.498 0.236 1
Li3 Li 0.001 0.998 0.476 1
Li4 Li 0.499 0.999 0.737 1
Li5 Li 0.503 0.997 0.239 1
Mn1 Mn 0.000 0.499 0.734 1
Mn2 Mn 0.501 0.498 0.483 1
Co1 Co 0.501 0.499 0.000 1
O1 O 0.247 0.278 0.967 1
O2 O 0.249 0.723 0.725 1
O3 O 0.251 0.278 0.503 1
O4 O 0.280 0.733 0.251 1
O5 O 0.722 0.264 0.251 1
O6 O 0.750 0.720 0.502 1
O7 O 0.753 0.275 0.725 1
O8 O 0.754 0.721 0.967 1
```